Record 1
Diffraction record for NdGa4Pt3. The powder diffraction line list is theoretical, not measured: it uses a structure optimized by DFT (PBE) and Cu Kα X-rays.
Neutral-atom scattering factors, no anomalous dispersion.

Atomic structure:
Cell: 4.251 4.251 8.474 Å, 90.00 90.00 90.00°
Fractional coordinates of all 8 atoms:
Nd  0.000  0.000  0.000
Ga  0.000  0.500  0.325
Ga  0.000  0.500  0.675
Ga  0.500  0.000  0.325
Ga  0.500  0.000  0.675
Pt  0.000  0.000  0.500
Pt  0.500  0.500  0.158
Pt  0.500  0.500  0.842

Largest 8 diffraction maxima, low angle first, 15° ≤ 2θ ≤ 90°:
| Position (°2θ) | d [Å] | I (rel.) |
| --- | --- | --- |
| 23.41 | 3.800 | 35 |
| 29.76 | 3.002 | 100 |
| 31.59 | 2.832 | 24 |
| 42.53 | 2.125 | 59 |
| 43.99 | 2.058 | 54 |
| 47.98 | 1.896 | 29 |
| 52.79 | 1.734 | 32 |
| 66.03 | 1.415 | 22 |



Record 2
Diffraction record for NdGaPt3. The powder diffraction line list is theoretical, not measured: it uses a structure optimized by DFT (PBE) and Cu Kα X-rays.
Neutral-atom scattering factors, no anomalous dispersion.

Atomic structure:
Cell: 8.454 4.144 10.751 Å, 90.00 90.00 90.00°
Fractional coordinates of all 20 atoms:
Nd  0.181  0.250  0.009
Nd  0.319  0.750  0.509
Nd  0.681  0.250  0.491
Nd  0.819  0.750  0.991
Ga  0.111  0.250  0.361
Ga  0.389  0.750  0.861
Ga  0.611  0.250  0.139
Ga  0.889  0.750  0.639
Pt  0.069  0.250  0.590
Pt  0.108  0.750  0.794
Pt  0.146  0.750  0.213
Pt  0.354  0.250  0.713
Pt  0.392  0.250  0.294
Pt  0.431  0.750  0.090
Pt  0.569  0.250  0.910
Pt  0.608  0.750  0.706
Pt  0.646  0.750  0.287
Pt  0.854  0.250  0.787
Pt  0.892  0.250  0.206
Pt  0.931  0.750  0.410

Largest 8 diffraction maxima, low angle first, 15° ≤ 2θ ≤ 90°:
| Position (°2θ) | d [Å] | I (rel.) |
| --- | --- | --- |
| 32.84 | 2.727 | 15 |
| 34.60 | 2.592 | 100 |
| 34.75 | 2.581 | 57 |
| 39.55 | 2.279 | 38 |
| 43.43 | 2.084 | 28 |
| 43.67 | 2.073 | 43 |
| 63.29 | 1.469 | 19 |
| 74.40 | 1.275 | 17 |



Record 3
Diffraction record for Nd3Ga3Pt. The powder diffraction line list is theoretical, not measured: it uses a structure optimized by DFT (PBE) and Cu Kα X-rays.
Neutral-atom scattering factors, no anomalous dispersion.

Atomic structure:
Cell: 3.935 4.475 19.486 Å, 90.00 90.00 90.00°
Fractional coordinates of all 14 atoms:
Nd  0.000  0.000  0.000
Nd  0.000  0.000  0.372
Nd  0.000  0.500  0.193
Nd  0.500  0.000  0.693
Nd  0.500  0.500  0.500
Nd  0.500  0.500  0.872
Ga  0.000  0.000  0.549
Ga  0.000  0.000  0.830
Ga  0.000  0.500  0.627
Ga  0.500  0.000  0.127
Ga  0.500  0.500  0.049
Ga  0.500  0.500  0.330
Pt  0.000  0.500  0.757
Pt  0.500  0.000  0.257

Largest 8 diffraction maxima, low angle first, 15° ≤ 2θ ≤ 90°:
| Position (°2θ) | d [Å] | I (rel.) |
| --- | --- | --- |
| 31.64 | 2.828 | 100 |
| 32.33 | 2.769 | 52 |
| 35.53 | 2.527 | 20 |
| 38.07 | 2.364 | 40 |
| 40.31 | 2.238 | 30 |
| 41.31 | 2.185 | 24 |
| 46.13 | 1.968 | 20 |
| 52.59 | 1.740 | 26 |



Record 4
Diffraction record for Nd3GaPt4. The powder diffraction line list is theoretical, not measured: it uses a structure optimized by DFT (PBE) and Cu Kα X-rays.
Neutral-atom scattering factors, no anomalous dispersion.

Atomic structure:
Cell: 4.162 6.536 14.328 Å, 90.00 90.00 90.00°
Fractional coordinates of all 16 atoms:
Nd  0.000  0.000  0.000
Nd  0.000  0.500  0.191
Nd  0.000  0.500  0.809
Nd  0.500  0.000  0.309
Nd  0.500  0.000  0.691
Nd  0.500  0.500  0.500
Ga  0.000  0.000  0.500
Ga  0.500  0.500  0.000
Pt  0.000  0.290  0.383
Pt  0.000  0.290  0.617
Pt  0.000  0.710  0.383
Pt  0.000  0.710  0.617
Pt  0.500  0.210  0.117
Pt  0.500  0.210  0.883
Pt  0.500  0.790  0.117
Pt  0.500  0.790  0.883

Largest 8 diffraction maxima, low angle first, 15° ≤ 2θ ≤ 90°:
| Position (°2θ) | d [Å] | I (rel.) |
| --- | --- | --- |
| 22.24 | 3.997 | 55 |
| 28.31 | 3.153 | 69 |
| 35.48 | 2.530 | 100 |
| 37.24 | 2.414 | 79 |
| 38.13 | 2.360 | 92 |
| 39.83 | 2.264 | 56 |
| 43.48 | 2.081 | 51 |
| 58.56 | 1.576 | 43 |



Record 5
Diffraction record for Nd3Ga2Pt6. The powder diffraction line list is theoretical, not measured: it uses a structure optimized by DFT (PBE) and Cu Kα X-rays.
Neutral-atom scattering factors, no anomalous dispersion.

Atomic structure:
Cell: 8.362 8.362 8.362 Å, 109.47 109.47 109.47°
Fractional coordinates of all 22 atoms:
Nd  0.000  0.297  0.297
Nd  0.000  0.703  0.703
Nd  0.297  0.000  0.297
Nd  0.297  0.297  0.000
Nd  0.703  0.000  0.703
Nd  0.703  0.703  0.000
Ga  0.000  0.000  0.500
Ga  0.000  0.500  0.000
Ga  0.500  0.000  0.000
Ga  0.500  0.500  0.500
Pt  0.000  0.323  0.677
Pt  0.000  0.677  0.323
Pt  0.323  0.000  0.677
Pt  0.323  0.323  0.647
Pt  0.323  0.647  0.323
Pt  0.323  0.677  0.000
Pt  0.353  0.677  0.677
Pt  0.647  0.323  0.323
Pt  0.677  0.000  0.323
Pt  0.677  0.323  0.000
Pt  0.677  0.353  0.677
Pt  0.677  0.677  0.353

Largest 8 diffraction maxima, low angle first, 15° ≤ 2θ ≤ 90°:
| Position (°2θ) | d [Å] | I (rel.) |
| --- | --- | --- |
| 29.25 | 3.053 | 13 |
| 34.77 | 2.580 | 29 |
| 37.25 | 2.414 | 12 |
| 39.60 | 2.276 | 100 |
| 57.25 | 1.609 | 12 |
| 58.97 | 1.566 | 16 |
| 71.85 | 1.314 | 28 |
| 85.30 | 1.138 | 11 |



Record 6
Diffraction record for Nd3Ga7Pt4. The powder diffraction line list is theoretical, not measured: it uses a structure optimized by DFT (PBE) and Cu Kα X-rays.
Neutral-atom scattering factors, no anomalous dispersion.

Atomic structure:
Cell: 8.338 8.338 9.405 Å, 123.41 123.41 30.48°
Fractional coordinates of all 14 atoms:
Nd  0.000  0.000  0.000
Nd  0.311  0.311  0.306
Nd  0.689  0.689  0.694
Ga  0.000  0.000  0.500
Ga  0.158  0.158  0.430
Ga  0.321  0.321  0.963
Ga  0.498  0.498  0.286
Ga  0.502  0.502  0.714
Ga  0.679  0.679  0.037
Ga  0.842  0.842  0.570
Pt  0.125  0.125  0.857
Pt  0.345  0.345  0.715
Pt  0.655  0.655  0.285
Pt  0.875  0.875  0.143

Largest 8 diffraction maxima, low angle first, 15° ≤ 2θ ≤ 90°:
| Position (°2θ) | d [Å] | I (rel.) |
| --- | --- | --- |
| 26.09 | 3.416 | 42 |
| 28.73 | 3.107 | 39 |
| 34.41 | 2.606 | 100 |
| 34.80 | 2.578 | 84 |
| 35.20 | 2.550 | 85 |
| 35.44 | 2.533 | 58 |
| 40.99 | 2.202 | 43 |
| 41.18 | 2.192 | 86 |



Record 7
Diffraction record for Nd2Ga3Pt5. The powder diffraction line list is theoretical, not measured: it uses a structure optimized by DFT (PBE) and Cu Kα X-rays.
Neutral-atom scattering factors, no anomalous dispersion.

Atomic structure:
Cell: 8.901 8.901 8.901 Å, 112.41 80.22 142.06°
Fractional coordinates of all 20 atoms:
Nd  0.144  0.226  0.370
Nd  0.356  0.726  0.082
Nd  0.644  0.274  0.918
Nd  0.856  0.774  0.630
Ga  0.101  0.654  0.755
Ga  0.250  0.250  0.000
Ga  0.399  0.154  0.553
Ga  0.601  0.846  0.447
Ga  0.750  0.750  0.000
Ga  0.899  0.346  0.245
Pt  0.039  0.750  0.289
Pt  0.134  0.896  0.031
Pt  0.250  0.750  0.500
Pt  0.366  0.396  0.762
Pt  0.461  0.750  0.711
Pt  0.539  0.250  0.289
Pt  0.634  0.604  0.238
Pt  0.750  0.250  0.500
Pt  0.866  0.104  0.969
Pt  0.961  0.250  0.711

Largest 8 diffraction maxima, low angle first, 15° ≤ 2θ ≤ 90°:
| Position (°2θ) | d [Å] | I (rel.) |
| --- | --- | --- |
| 17.91 | 4.951 | 43 |
| 31.90 | 2.806 | 59 |
| 32.91 | 2.721 | 31 |
| 33.92 | 2.642 | 84 |
| 34.15 | 2.626 | 30 |
| 35.95 | 2.498 | 68 |
| 40.93 | 2.205 | 100 |
| 48.39 | 1.881 | 28 |



Record 8
Diffraction record for NdGa2Pt6. The powder diffraction line list is theoretical, not measured: it uses a structure optimized by DFT (PBE) and Cu Kα X-rays.
Neutral-atom scattering factors, no anomalous dispersion.

Atomic structure:
Cell: 8.049 8.049 8.049 Å, 60.00 60.00 60.00°
Fractional coordinates of all 18 atoms:
Nd  0.125  0.125  0.125
Nd  0.875  0.875  0.875
Ga  0.000  0.500  0.500
Ga  0.500  0.000  0.500
Ga  0.500  0.500  0.000
Ga  0.500  0.500  0.500
Pt  0.125  0.125  0.625
Pt  0.125  0.625  0.125
Pt  0.125  0.625  0.625
Pt  0.375  0.375  0.875
Pt  0.375  0.875  0.375
Pt  0.375  0.875  0.875
Pt  0.625  0.125  0.125
Pt  0.625  0.125  0.625
Pt  0.625  0.625  0.125
Pt  0.875  0.375  0.375
Pt  0.875  0.375  0.875
Pt  0.875  0.875  0.375

Largest 8 diffraction maxima, low angle first, 15° ≤ 2θ ≤ 90°:
| Position (°2θ) | d [Å] | I (rel.) |
| --- | --- | --- |
| 22.09 | 4.025 | 17 |
| 25.96 | 3.432 | 13 |
| 31.43 | 2.846 | 84 |
| 45.05 | 2.012 | 100 |
| 55.96 | 1.643 | 23 |
| 65.61 | 1.423 | 16 |
| 74.56 | 1.273 | 29 |
| 83.14 | 1.162 | 35 |